For In3Hg3H, the PBE geometry in Alexandria gives the simulated XRD peak list in this record (a wavelength of 1.5418 Å).
Intensities are scaled so that the largest is 100.

Most intense lines, 10° ≤ 2θ ≤ 90°, most intense first:
2θ 28.59, intensity 100
2θ 31.86, intensity 95
2θ 34.58, intensity 61
2θ 35.06, intensity 47
2θ 33.70, intensity 46
2θ 39.65, intensity 41
2θ 39.88, intensity 35
2θ 46.77, intensity 24

```
In3Hg3H
1.0
6.3406 0.0000 0.0000
-1.2371 7.3281 0.0000
-1.3012 -2.8629 7.2711
In Hg H
6 6 2
Cartesian
0.0235 2.2054 0.6539
-0.0250 1.1040 4.1387
-0.7939 4.9388 5.6009
4.5962 -0.4736 1.6703
3.8273 3.3612 3.1324
3.7788 2.2599 6.6172
1.4703 -0.4843 1.7004
0.7576 4.0002 3.0099
0.5783 2.1712 6.8882
3.2240 2.2940 0.3829
3.0447 0.4651 4.2612
2.3320 4.9496 5.5707
-0.2084 -0.7559 4.7504
4.0107 5.2212 2.5207
```